Computed powder diffraction line list of GaCoAsO6 for Cu Kα (λ = 1.5418 Å), from a PBE+U-relaxed structure.

a = 4.9813 Å, b = 4.9813 Å, c = 8.5418 Å
α = 90.00°, β = 90.00°, γ = 120.00°
Space group P-31c (No. 163)
Inequivalent atoms, fractional coordinates:
Ga 0.3333 0.6667 0.2500
Co 0.0000 0.0000 0.0000
As 0.3333 0.6667 0.7500
O 0.0204 0.3542 0.6306

Principal peaks in the range 15 to 90 degrees two-theta, low angle first:
20.80 deg, I = 19.0, hkl 0 0 2; 29.43 deg, I = 100.0, hkl 1 0 2; 36.06 deg, I = 40.9, hkl 1 1 0; 41.99 deg, I = 27.2, hkl 1 1 2; 47.21 deg, I = 25.8, hkl 2 0 2; 56.79 deg, I = 50.1, hkl 1 1 4; 60.81 deg, I = 23.5, hkl 2 1 2; 64.84 deg, I = 21.1, hkl 3 0 0; 69.53 deg, I = 7.6, hkl 1 0 6; 84.00 deg, I = 9.1, hkl 4 -1 2